For VGaW3, a crystal structure in Alexandria, relaxed with GGA-PBE gives the simulated X-ray powder pattern in this record (Cu Kα X-rays).

Crystal structure
Cell lengths 4.551, 4.551, 4.551 Å; angles 90.00, 90.00, 90.00 degrees
Space group Pm-3m (No. 221)
Unique sites:
V 0.000 0.000 0.000
Ga 0.500 0.500 0.500
W 0.000 0.000 0.500

Largest 12 diffraction maxima, low angle first, 2θ from 10° to 90°:
hkl 1 0 0, 19.50°, d = 4.551 Å, intensity 24
hkl 1 1 0, 27.72°, d = 3.218 Å, intensity 2
hkl 1 1 1, 34.12°, d = 2.628 Å, intensity 100
hkl 2 0 0, 39.60°, d = 2.276 Å, intensity 69
hkl 2 1 0, 44.51°, d = 2.035 Å, intensity 11
hkl 2 2 0, 57.25°, d = 1.609 Å, intensity 47
hkl 3 0 0, 61.08°, d = 1.517 Å, intensity 5
hkl 3 1 1, 68.36°, d = 1.372 Å, intensity 41
hkl 2 2 2, 71.86°, d = 1.314 Å, intensity 16
hkl 3 2 0, 75.29°, d = 1.262 Å, intensity 2
hkl 4 0 0, 85.30°, d = 1.138 Å, intensity 8
hkl 4 1 0, 88.60°, d = 1.104 Å, intensity 3